Starting from a structure optimized by DFT (GGA-PBE), the powder diffraction line list of NaGaGeP2SO12 was calculated for Cu Kα X-rays.
Lines closer than 0.1° are merged.

Most intense lines, 15 to 90 degrees two-theta, most intense first:
d [Å]  Rel. int.  hkl
4.216  100  0 2 0
3.645  91  0 2 1
4.401  49  1 1 1
3.673  44  3 1 0
3.031  42  2 2 -2
2.780  38  3 1 1
2.753  34  3 1 -3
2.763  34  0 2 2
2.431  28  3 3 -1
4.370  26  2 0 -2

Structure:
```
data_NaGaGeP2SO12
_chemical_formula_sum 'Na4 Ga4 Ge4 P8 S4 O48'
_space_group_name_H-M_alt 'C 1 c 1'
_space_group_IT_number 9
_cell_length_a 14.635
_cell_length_b 8.414
_cell_length_c 8.756
_cell_angle_alpha 90.00
_cell_angle_beta 123.20
_cell_angle_gamma 90.00
loop_
_space_group_symop_operation_xyz
'x,y,z'
'x,-y,z+1/2'
'x+1/2,y+1/2,z'
'x+1/2,-y+1/2,z+1/2'
loop_
_atom_site_label
_atom_site_type_symbol
_atom_site_fract_x
_atom_site_fract_y
_atom_site_fract_z
Na1 Na 0.000 0.245 0.000
Ga1 Ga 0.349 0.261 0.062
Ge1 Ge 0.147 0.249 0.446
P1 P 0.106 0.106 0.756
P2 P 0.248 0.460 0.254
S1 S 0.395 0.105 0.756
O1 O 0.004 0.183 0.732
O2 O 0.103 0.079 0.275
O3 O 0.108 0.125 0.580
O4 O 0.167 0.356 0.276
O5 O 0.171 0.438 0.580
O6 O 0.204 0.177 0.926
O7 O 0.301 0.182 0.587
O8 O 0.324 0.442 0.923
O9 O 0.325 0.352 0.236
O10 O 0.394 0.128 0.920
O11 O 0.398 0.067 0.233
O12 O 0.492 0.182 0.770
```